Structure and simulated powder diffractogram of CeDy4Ir4 (the PBE geometry in Alexandria; Cu Kα X-rays).

Main lines, by angle (2θ from 5° to 70°):
- hkl 1 0 1, 18.46 deg, I = 17
- hkl 2 0 0, 20.24 deg, I = 12
- hkl 1 3 0, 32.26 deg, I = 100
- hkl 1 0 2, 32.82 deg, I = 49
- hkl 1 2 2, 38.86 deg, I = 34
- hkl 2 3 1, 40.25 deg, I = 22
- hkl 3 0 2, 44.20 deg, I = 28
- hkl 4 1 1, 45.45 deg, I = 23
- hkl 4 2 0, 46.27 deg, I = 29
- hkl 3 2 2, 49.07 deg, I = 33
- hkl 4 1 2, 53.60 deg, I = 12
- hkl 2 5 2, 65.91 deg, I = 13

Structure:
a = 8.775 Å, b = 8.775 Å, c = 5.743 Å
α = 90.00°, β = 90.00°, γ = 90.00°
Space group P4_2/n (No. 86, origin choice 2)
Unique sites:
Ce (0.250, 0.250, 0.250) x2
Dy (0.073, 0.662, 0.150) x8
Ir (0.022, 0.624, 0.650) x8